Starting from a crystal structure in the Materials Project, relaxed with PBE, the X-ray diffraction stick pattern of KMo9S9 was calculated for Cu Kα.
Kinematic intensities with the Lorentz-polarization factor, no thermal factor.

The 6 most intense peaks (2θ from 10° to 90°), in order of rising 2θ:
hkl 1 0 0, 2θ = 11.48°, I 100; hkl 2 1 0, 2θ = 30.70°, I 9; hkl 2 1 3, 2θ = 37.04°, I 21; hkl 1 0 6, 2θ = 42.81°, I 8; hkl 2 2 3, 2θ = 45.72°, I 14; hkl 3 1 3, 2θ = 47.30°, I 14

Crystal structure
a = 8.8972 Å, b = 8.8972 Å, c = 13.1783 Å
α = 90.00°, β = 90.00°, γ = 120.00°
Space group P6_3/m (No. 176)
Symmetry-distinct sites (fractional):
K 0.3333 0.6667 0.2500 (multiplicity 2)
Mo 0.0316 0.1902 0.2500 (multiplicity 6)
Mo 0.0327 0.1928 0.5833 (multiplicity 12)
S 0.0586 0.3489 0.7500 (multiplicity 6)
S 0.0599 0.3491 0.0839 (multiplicity 12)